For LiScTl2, the PBE geometry in Alexandria gives the calculated X-ray powder pattern in this record (CuKα).
Lines closer than 0.1° are merged.

Principal peaks in the range 10 to 80 degrees two-theta, by intensity:
| 2θ (°) | I/Imax | hkl |
| --- | --- | --- |
| 35.82 | 100 | 2 2 0 |
| 25.12 | 74 | 2 0 0 |
| 64.36 | 37 | 4 2 2 |
| 58.18 | 31 | 4 2 0 |
| 44.25 | 23 | 2 2 2 |
| 51.55 | 18 | 4 0 0 |
| 75.90 | 11 | 4 4 0 |
| 21.71 | 2 | 1 1 1 |
| 42.27 | 1 | 3 1 1 |

Crystal structure
a b c (Å): 7.0914 7.0914 7.0914
angles (deg): 90.00 90.00 90.00
Space group Fm-3m (No. 225)
Unique sites:
Li 0.0000 0.0000 0.0000 x4
Sc 0.0000 0.0000 0.5000 x4
Tl 0.2500 0.2500 0.2500 x8


For Tb5HfRu6, the PBE geometry in Alexandria gives the calculated X-ray powder pattern in this record (CuKα).
Lines closer than 0.1° are merged.

Principal peaks in the range 10 to 80 degrees two-theta, by intensity:
| 2θ (°) | I/Imax | hkl |
| --- | --- | --- |
| 37.59 | 100 | 1 3 2 |
| 67.94 | 27 | 3 3 2 |
| 37.69 | 20 | 2 0 0 |
| 67.73 | 14 | 2 0 4 |
| 54.34 | 14 | 2 6 0 |
| 54.02 | 7 | 0 0 4 |
| 26.39 | 5 | 1 3 0 |
| 26.25 | 2 | 0 0 2 |
| 46.50 | 2 | 0 6 2 |
| 61.36 | 2 | 1 9 0 |
| 61.10 | 1 | 1 3 4 |

Crystal structure
a b c (Å): 4.7735 14.3317 6.7903
angles (deg): 90.00 90.00 90.00
Space group Cmmm (No. 65)
Unique sites:
Tb 0.0000 0.0000 0.0000 x2
Tb 0.0000 0.3339 0.0000 x4
Tb 0.0000 0.3341 0.5000 x4
Hf 0.0000 0.0000 0.5000 x2
Ru 0.0000 0.1605 0.2567 x8
Ru 0.0000 0.5000 0.2628 x4